(1)
For Li3H7Pd2, a PBE-relaxed structure gives the theoretical powder diffraction line list in this record (λ = 1.5418 Å (Cu Kα)).

Atomic structure:
```
Li3H7Pd2
1.0
1.783 -8.465 0.000
1.783 8.465 0.000
0.000 0.000 3.506
Li H Pd
3 7 2
Cartesian
0.000 0.000 0.000 Li
1.783 5.502 0.000 Li
1.783 -5.502 0.000 Li
1.783 6.731 1.753 H
1.783 3.447 1.753 H
1.783 1.730 0.000 H
1.783 0.000 1.753 H
1.783 -1.730 0.000 H
1.783 -3.447 1.753 H
1.783 -6.731 1.753 H
1.783 1.751 1.753 Pd
1.783 -1.751 1.753 Pd
```

Main lines, sorted by position (10 to 90 degrees two-theta):
2θ/deg	I (rel.)
20.99	100.0
25.41	76.3
25.53	96.7
33.18	60.7
36.33	89.7
36.60	67.8

***

(2)
For NaTl6Pt6, a PBE-relaxed structure gives the theoretical powder diffraction line list in this record (λ = 1.5418 Å (Cu Kα)).

Atomic structure:
```
NaTl6Pt6
1.0
-2.835 4.828 4.950
2.835 -4.828 4.950
2.835 4.828 -4.950
Na Tl Pt
1 6 6
Cartesian
0.000 0.000 0.000 Na
2.835 0.000 1.682 Tl
0.000 3.154 0.000 Tl
0.000 0.000 3.339 Tl
0.000 0.000 6.561 Tl
0.000 6.503 0.000 Tl
0.000 4.828 3.268 Tl
1.417 2.414 -2.475 Pt
1.417 -2.414 2.475 Pt
2.835 2.296 0.000 Pt
-1.417 2.414 2.475 Pt
1.417 2.414 2.475 Pt
0.000 2.532 4.950 Pt
```

Main lines, sorted by position (10 to 90 degrees two-theta):
2θ/deg	I (rel.)
31.36	23.8
36.57	74.4
37.24	35.7
40.98	51.2
41.19	100.0
41.65	37.9

***

(3)
For Pr6SmHo8, a PBE-relaxed structure gives the theoretical powder diffraction line list in this record (λ = 1.5418 Å (Cu Kα)).

Atomic structure:
```
Pr6SmHo8
1.0
4.567 2.637 7.002
-4.567 2.637 7.002
0.000 -5.273 7.002
Pr Sm Ho
6 1 8
Cartesian
-2.577 -2.156 9.573 Pr
-3.156 1.154 11.432 Pr
0.579 -3.310 11.432 Pr
-0.579 3.310 9.573 Pr
3.156 -1.154 9.573 Pr
2.577 2.156 11.432 Pr
0.000 0.000 10.503 Sm
0.000 0.000 1.607 Ho
-1.816 0.861 7.545 Ho
0.163 -2.003 7.545 Ho
-1.653 -1.142 13.460 Ho
1.653 1.142 7.545 Ho
-0.163 2.003 13.460 Ho
1.816 -0.861 13.460 Ho
0.000 0.000 19.398 Ho
```

Main lines, sorted by position (10 to 90 degrees two-theta):
2θ/deg	I (rel.)
30.19	22.2
31.08	100.0
31.90	29.9
36.41	14.6
52.34	11.3
59.53	11.3